The following is a calculated X-ray diffraction stick pattern of CaCo4As2. It was derived from a DFT-relaxed cell (GGA-PBE, Alexandria), using Cu Kα, 1.54184 Å.
No peak broadening, texture or thermal motion is included.

Principal peaks in the range 10° ≤ 2θ ≤ 90°, in order of falling intensity:
46.52°, I = 100; 36.90°, I = 60; 42.89°, I = 44; 51.64°, I = 36; 17.19°, I = 35; 49.81°, I = 31; 39.04°, I = 21; 69.34°, I = 20; 34.78°, I = 17; 74.59°, I = 17

Structure:
```
data_CaCo4As2
_cell_length_a 7.2966
_cell_length_b 7.2966
_cell_length_c 3.6612
_cell_angle_alpha 90.00
_cell_angle_beta 90.00
_cell_angle_gamma 90.00
_space_group_name_H-M_alt 'P 42/m n m'
_space_group_IT_number 136
_space_group_name_Hall '-P 4n 2n'
loop_
_atom_site_label
_atom_site_type_symbol
_atom_site_fract_x
_atom_site_fract_y
_atom_site_fract_z
_atom_site_occupancy
Ca1 Ca 0.0000 0.0000 0.0000 1
Co1 Co 0.0785 0.3496 0.5000 1
As1 As 0.2247 0.7753 0.5000 1
```

***

The following is a calculated X-ray diffraction stick pattern of Nd3YTl3. It was derived from a DFT-relaxed cell (GGA-PBE, Alexandria), using Cu Kα, 1.54184 Å.
No peak broadening, texture or thermal motion is included.

Principal peaks in the range 10° ≤ 2θ ≤ 90°, in order of falling intensity:
32.92°, I = 100; 33.65°, I = 24; 28.20°, I = 22; 59.72°, I = 18; 61.55°, I = 14; 44.46°, I = 13; 49.91°, I = 13; 18.35°, I = 10; 61.09°, I = 7; 82.68°, I = 6

Structure:
```
data_Nd3YTl3
_cell_length_a 9.6685
_cell_length_b 9.6685
_cell_length_c 5.3267
_cell_angle_alpha 90.00
_cell_angle_beta 90.00
_cell_angle_gamma 120.00
_space_group_name_H-M_alt 'P 63/m'
_space_group_IT_number 176
_space_group_name_Hall '-P 6c'
loop_
_atom_site_label
_atom_site_type_symbol
_atom_site_fract_x
_atom_site_fract_y
_atom_site_fract_z
_atom_site_occupancy
Nd1 Nd 0.0008 0.2403 0.2500 1
Y1 Y 0.3333 0.6667 0.2500 1
Tl1 Tl 0.0726 0.4539 0.7500 1
```

***

The following is a calculated X-ray diffraction stick pattern of Cs2Cu3Cl8. It was derived from a DFT-relaxed cell (GGA-PBE, Alexandria), using Cu Kα, 1.54184 Å.
No peak broadening, texture or thermal motion is included.

Principal peaks in the range 10° ≤ 2θ ≤ 90°, in order of falling intensity:
25.91°, I = 100; 37.53°, I = 72; 46.17°, I = 42; 32.04°, I = 39; 53.28°, I = 37; 26.30°, I = 34; 28.98°, I = 30; 36.41°, I = 30; 11.95°, I = 26; 54.12°, I = 23

Structure:
```
data_Cs2Cu3Cl8
_cell_length_a 4.7928
_cell_length_b 4.7928
_cell_length_c 14.8071
_cell_angle_alpha 90.00
_cell_angle_beta 90.00
_cell_angle_gamma 90.00
_space_group_name_H-M_alt 'P 4/m m m'
_space_group_IT_number 123
_space_group_name_Hall '-P 4 2'
loop_
_atom_site_label
_atom_site_type_symbol
_atom_site_fract_x
_atom_site_fract_y
_atom_site_fract_z
_atom_site_occupancy
Cs1 Cs 0.0000 0.0000 0.1823 1
Cu1 Cu 0.5000 0.5000 0.0000 1
Cu2 Cu 0.5000 0.5000 0.3385 1
Cl1 Cl 0.0000 0.5000 0.0000 1
Cl2 Cl 0.0000 0.5000 0.3567 1
Cl3 Cl 0.5000 0.5000 0.1671 1
```

***

- Number 3 is which compound?
  Cs2Cu3Cl8